Starting from a structure optimized by DFT (GGA+U), the powder XRD pattern of RbFeTe2O6 was simulated for a wavelength of 1.5418 Å.

Structural model:
```
data_RbFeTe2O6
_chemical_formula_sum 'Rb4 Fe4 Te8 O24'
_cell_length_a 9.733
_cell_length_b 12.572
_cell_length_c 7.904
_cell_angle_alpha 90.00
_cell_angle_beta 119.79
_cell_angle_gamma 90.00
_symmetry_space_group_name_H-M 'C 1 2/c 1'
_symmetry_Int_Tables_number 15
loop_
_symmetry_equiv_pos_as_xyz
'x,y,z'
'-x,-y,-z'
'-x,y,-z+1/2'
'x,-y,z+1/2'
'x+1/2,y+1/2,z'
'-x+1/2,-y+1/2,-z'
'-x+1/2,y+1/2,-z+1/2'
'x+1/2,-y+1/2,z+1/2'
loop_
_atom_site_label
_atom_site_type_symbol
_atom_site_fract_x
_atom_site_fract_y
_atom_site_fract_z
Rb1 Rb 0.000 0.093 0.250
Fe1 Fe 0.000 0.212 0.750
Te1 Te 0.141 0.408 0.157
O1 O 0.098 0.294 0.976
O2 O 0.130 0.117 0.701
O3 O 0.152 0.472 0.523
```

Top 10 peaks for 2θ from 10° to 90°, sorted by position:
two_theta  Rel. int.  h k l
19.15  82  0 2 1
23.25  100  2 2 -1
23.72  89  1 1 -2
24.39  48  1 3 -1
29.54  98  1 3 1
30.25  32  3 1 -2
32.59  63  3 1 0
37.04  44  2 2 -3
44.93  34  2 4 -3
49.22  31  1 1 -4